Record 1
Simulated X-ray diffraction stick pattern of Gd2ScPd for Cu Ka, from a cell relaxed with PBE.
Lines closer than 0.1° are merged.

Structure:
Cell: 3.6447 3.6447 7.6119 Å, 90.00 90.00 90.00°
Space group P4/mmm (No. 123)
One atom of each set of equivalent atoms:
Gd 0.0000 0.0000 0.2195 (multiplicity 2)
Sc 0.5000 0.5000 0.5000 (multiplicity 1)
Pd 0.5000 0.5000 0.0000 (multiplicity 1)

Top 6 peaks for 2θ from 10° to 90°, sorted by position:
d_spacing  2theta  I (rel.)  h k l
7.612  11.63  239  0 0 1
3.645  24.42  143  1 0 0
2.632  34.06  1000  1 0 2
2.577  34.81  520  1 1 0
1.822  50.05  184  2 0 0
1.498  61.93  347  2 1 2

Record 2
Simulated X-ray diffraction stick pattern of K2CuCl5 for Cu Ka, from a cell relaxed with PBE.
Lines closer than 0.1° are merged.

Structure:
Cell: 6.8147 6.8147 4.8504 Å, 90.00 90.00 90.00°
Space group P4/mmm (No. 123)
One atom of each set of equivalent atoms:
K 0.0000 0.5000 0.0000 (multiplicity 2)
Cu 0.0000 0.0000 0.5000 (multiplicity 1)
Cl 0.0000 0.0000 0.0000 (multiplicity 1)
Cl 0.2413 0.2413 0.5000 (multiplicity 4)

Top 6 peaks for 2θ from 10° to 90°, sorted by position:
d_spacing  2theta  I (rel.)  h k l
6.815  12.99  1000  1 0 0
3.418  26.07  412  1 1 1
2.788  32.10  614  2 0 1
2.425  37.07  297  0 0 2
2.409  37.32  576  2 2 0
1.709  53.62  355  2 2 2

Record 3
Simulated X-ray diffraction stick pattern of La14Co3Pt6 for Cu Ka, from a cell relaxed with PBE.
Lines closer than 0.1° are merged.

Structure:
Cell: 10.2368 10.2368 7.1120 Å, 90.00 90.00 120.00°
Space group P3m1 (No. 156)
One atom of each set of equivalent atoms:
La 0.0000 0.0000 0.0000 (multiplicity 1)
La 0.0756 0.5378 0.2789 (multiplicity 3)
La 0.2017 0.4033 0.7620 (multiplicity 3)
La 0.2497 0.1248 0.4356 (multiplicity 3)
La 0.4183 0.2091 0.9426 (multiplicity 3)
La 0.6667 0.3333 0.5089 (multiplicity 1)
Co 0.0000 0.0000 0.6560 (multiplicity 1)
Co 0.3333 0.6667 0.5350 (multiplicity 1)
Co 0.6667 0.3333 0.1609 (multiplicity 1)
Pt 0.1472 0.2943 0.1796 (multiplicity 3)
Pt 0.5187 0.0374 0.6849 (multiplicity 3)

Top 6 peaks for 2θ from 10° to 90°, sorted by position:
d_spacing  2theta  I (rel.)  h k l
3.300  27.02  350  0 1 2
3.031  29.47  1000  2 1 1
2.774  32.27  928  2 0 2
2.729  32.82  658  3 0 1
2.559  35.06  926  2 2 0
2.090  43.28  514  0 2 3

Record 4
Simulated X-ray diffraction stick pattern of AcErMg2Tl4 for Cu Ka, from a cell relaxed with PBE.
Lines closer than 0.1° are merged.

Structure:
Cell: 5.0737 5.0737 30.3349 Å, 90.00 90.00 120.00°
Space group R-3m (No. 166, hexagonal axes)
One atom of each set of equivalent atoms:
Ac 0.0000 0.0000 0.0000 (multiplicity 3)
Er 0.0000 0.0000 0.5000 (multiplicity 3)
Mg 0.0000 0.0000 0.2425 (multiplicity 6)
Tl 0.0000 0.0000 0.1261 (multiplicity 6)
Tl 0.0000 0.0000 0.3908 (multiplicity 6)

Top 6 peaks for 2θ from 10° to 90°, sorted by position:
d_spacing  2theta  I (rel.)  h k l
4.220  21.05  350  0 1 2
2.871  31.16  1000  0 1 8
2.537  35.38  885  1 1 0
2.496  35.98  232  1 0 10
1.901  47.85  310  2 0 8
1.521  60.90  304  1 2 8